Sr2DyInCl8: computed X-ray powder pattern (copper Kα), based on the PBE geometry in Alexandria.
No peak broadening, texture or thermal motion is included.

Atomic structure:
Cell lengths 6.5684, 9.0808, 6.7706 Å; angles 90.00, 90.05, 90.00 degrees
Space group P2/m (No. 10)
Inequivalent atoms, fractional coordinates:
Sr (0.0000, 0.2503, 0.0000) [2 per cell]
Dy (0.5000, 0.0000, 0.5000) [1 per cell]
In (0.5000, 0.5000, 0.5000) [1 per cell]
Cl (0.2190, 0.5000, 0.1461) [2 per cell]
Cl (0.2364, 0.0000, 0.1896) [2 per cell]
Cl (0.2811, 0.2088, 0.6685) [4 per cell]

Most intense lines, 10 to 90 degrees two-theta, sorted by position:
| two_theta | I/Imax | (hkl) |
| --- | --- | --- |
| 18.82 | 100 | 1 0 1 |
| 23.59 | 25 | 0 2 1 |
| 23.82 | 41 | 1 2 0 |
| 27.27 | 23 | 1 2 -1 |
| 35.80 | 39 | 1 2 2 |
| 36.27 | 55 | 2 2 -1 |
| 38.18 | 25 | 2 0 2 |
| 39.70 | 14 | 0 4 0 |
| 44.28 | 21 | 1 4 -1 |
| 44.85 | 22 | 0 2 3 |
| 46.02 | 14 | 3 2 0 |
| 56.26 | 14 | 2 4 -2 |

---

Na8B11C5: computed X-ray powder pattern (copper Kα), based on the PBE geometry in Alexandria.
No peak broadening, texture or thermal motion is included.

Atomic structure:
Cell lengths 5.6412, 17.1968, 10.2350 Å; angles 90.00, 90.00, 90.00 degrees
Space group Fmm2 (No. 42)
Inequivalent atoms, fractional coordinates:
Na (0.0000, 0.1243, 0.9996) [8 per cell]
Na (0.0000, 0.1256, 0.5000) [8 per cell]
Na (0.2498, 0.1232, 0.2485) [16 per cell]
B (0.0000, 0.0000, 0.1635) [4 per cell]
B (0.0000, 0.0000, 0.6588) [4 per cell]
B (0.0000, 0.0000, 0.8275) [4 per cell]
B (0.0000, 0.2492, 0.3170) [8 per cell]
B (0.2421, 0.0000, 0.4217) [8 per cell]
B (0.2500, 0.2500, 0.0877) [8 per cell]
B (0.2500, 0.2500, 0.4234) [8 per cell]
C (0.0000, 0.0000, 0.3294) [4 per cell]
C (0.0000, 0.2494, 0.1673) [8 per cell]
C (0.2491, 0.0000, 0.5802) [8 per cell]

Most intense lines, 10 to 90 degrees two-theta, sorted by position:
| two_theta | I/Imax | (hkl) |
| --- | --- | --- |
| 35.07 | 11 | 0 0 4 |
| 36.37 | 16 | 2 0 2 |
| 41.05 | 49 | 0 4 4 |
| 42.03 | 38 | 0 8 0 |
| 42.19 | 100 | 2 4 2 |
| 56.77 | 9 | 2 8 2 |
| 63.76 | 18 | 2 0 6 |
| 66.27 | 8 | 4 0 0 |
| 76.91 | 13 | 2 12 2 |
| 79.35 | 17 | 2 8 6 |
| 80.99 | 10 | 4 4 4 |
| 81.65 | 8 | 4 8 0 |

---

PmTlBiAu: computed X-ray powder pattern (copper Kα), based on the PBE geometry in Alexandria.
No peak broadening, texture or thermal motion is included.

Atomic structure:
Cell lengths 7.6778, 7.6778, 7.6778 Å; angles 90.00, 90.00, 90.00 degrees
Space group F-43m (No. 216)
Inequivalent atoms, fractional coordinates:
Pm (0.0000, 0.0000, 0.0000) [4 per cell]
Tl (0.0000, 0.0000, 0.5000) [4 per cell]
Bi (0.2500, 0.2500, 0.7500) [4 per cell]
Au (0.2500, 0.2500, 0.2500) [4 per cell]

Most intense lines, 10 to 90 degrees two-theta, sorted by position:
| two_theta | I/Imax | (hkl) |
| --- | --- | --- |
| 20.03 | 1 | 1 1 1 |
| 23.17 | 1 | 2 0 0 |
| 33.00 | 100 | 2 2 0 |
| 38.90 | 1 | 3 1 1 |
| 47.36 | 19 | 4 0 0 |
| 58.93 | 39 | 4 2 2 |
| 69.22 | 12 | 4 4 0 |
| 78.85 | 17 | 6 2 0 |
| 88.16 | 5 | 4 4 4 |

---

Mg3Tl7: computed X-ray powder pattern (copper Kα), based on the PBE geometry in Alexandria.
No peak broadening, texture or thermal motion is included.

Atomic structure:
Cell lengths 10.0049, 10.0049, 6.4767 Å; angles 90.00, 90.00, 120.00 degrees
Space group P6_3mc (No. 186)
Inequivalent atoms, fractional coordinates:
Mg (0.2060, 0.4120, 0.0000) [6 per cell]
Tl (0.0598, 0.5299, 0.3240) [6 per cell]
Tl (0.1183, 0.2367, 0.5301) [6 per cell]
Tl (0.3333, 0.6667, 0.6638) [2 per cell]

Most intense lines, 10 to 90 degrees two-theta, sorted by position:
| two_theta | I/Imax | (hkl) |
| --- | --- | --- |
| 17.09 | 29 | 1 0 1 |
| 27.23 | 52 | 2 1 0 |
| 29.45 | 53 | 1 0 2 |
| 30.59 | 100 | 2 1 1 |
| 33.99 | 93 | 3 0 1 |
| 34.58 | 76 | 2 0 2 |
| 35.90 | 33 | 2 2 0 |
| 50.68 | 25 | 4 0 2 |
| 54.14 | 31 | 3 2 2 |
| 54.84 | 21 | 5 0 1 |
| 55.07 | 23 | 3 3 0 |
| 63.64 | 24 | 3 2 3 |

---

DyAgSeO4: computed X-ray powder pattern (copper Kα), based on the PBE geometry in Alexandria.
No peak broadening, texture or thermal motion is included.

Atomic structure:
Cell lengths 7.1164, 7.2291, 8.2594 Å; angles 90.00, 90.00, 90.00 degrees
Space group Imma (No. 74)
Inequivalent atoms, fractional coordinates:
Dy (0.2500, 0.2500, 0.2500) [4 per cell]
Ag (0.0000, 0.0000, 0.0000) [4 per cell]
Se (0.0000, 0.2500, 0.6608) [4 per cell]
O (0.0000, 0.0504, 0.2518) [8 per cell]
O (0.1901, 0.2500, 0.5350) [8 per cell]

Most intense lines, 10 to 90 degrees two-theta, sorted by position:
| two_theta | I/Imax | (hkl) |
| --- | --- | --- |
| 16.29 | 43 | 0 1 1 |
| 29.76 | 65 | 1 2 1 |
| 30.01 | 100 | 2 1 1 |
| 32.93 | 55 | 0 2 2 |
| 33.24 | 28 | 2 0 2 |
| 34.90 | 55 | 0 1 3 |
| 35.40 | 43 | 2 2 0 |
| 43.40 | 20 | 2 1 3 |
| 46.84 | 40 | 2 3 1 |
| 50.50 | 20 | 0 4 0 |
| 57.56 | 44 | 2 2 4 |
| 62.37 | 22 | 4 2 2 |